[1]
The following is a theoretical powder XRD pattern of LuCu3S3. It was derived from a GGA-PBE-relaxed structure, using Cu Kα (weighted mean of Kα1 and Kα2).

Main lines, in order of rising 2θ (2θ from 10° to 90°):
two_theta  intensity  h k l
16.11  29  1 0 1
18.07  22  0 1 2
30.45  100  2 -1 3
39.52  73  1 1 6
47.41  54  3 0 0
51.66  18  2 -1 9
57.40  16  2 2 3
63.38  16  4 -2 6
66.12  17  3 0 9
82.83  15  4 1 6

Cell and atoms:
```
data_LuCu3S3
_space_group_name_H-M_alt 'R -3'
_space_group_IT_number 148
_space_group_name_Hall '-R 3'
_cell_length_a 6.6424
_cell_length_b 6.6424
_cell_length_c 18.8187
_cell_angle_alpha 90.00
_cell_angle_beta 90.00
_cell_angle_gamma 120.00
loop_
_atom_site_label
_atom_site_type_symbol
_atom_site_fract_x
_atom_site_fract_y
_atom_site_fract_z
Lu1 Lu 0.0000 0.0000 0.1665
Cu1 Cu 0.9998 0.3361 0.6239
S1 S 0.0009 0.3324 0.7519
```



[2]
The following is a theoretical powder XRD pattern of Ti2CCl2. It was derived from a GGA-PBE-relaxed structure, using Cu Kα (weighted mean of Kα1 and Kα2).

Main lines, in order of rising 2θ (2θ from 10° to 90°):
two_theta  intensity  h k l
19.18  10  0 0 2
31.96  28  1 0 0
37.54  100  0 1 2
43.65  43  0 1 3
49.21  9  0 0 5
51.21  9  1 0 4
56.95  26  1 1 0
59.89  13  1 0 5
70.23  13  2 0 2
78.55  13  1 1 5

Cell and atoms:
```
data_Ti2CCl2
_space_group_name_H-M_alt 'P -3 m 1'
_space_group_IT_number 164
_space_group_name_Hall '-P 3 2"'
_cell_length_a 3.2338
_cell_length_b 3.2338
_cell_length_c 9.2570
_cell_angle_alpha 90.00
_cell_angle_beta 90.00
_cell_angle_gamma 120.00
loop_
_atom_site_label
_atom_site_type_symbol
_atom_site_fract_x
_atom_site_fract_y
_atom_site_fract_z
Ti1 Ti 0.3333 0.6667 0.1175
C1 C 0.0000 0.0000 0.0000
Cl1 Cl 0.3333 0.6667 0.7003
```



[3]
The following is a theoretical powder XRD pattern of ErCu2. It was derived from a GGA-PBE-relaxed structure, using Cu Kα (weighted mean of Kα1 and Kα2).

Main lines, in order of rising 2θ (2θ from 10° to 90°):
two_theta  intensity  h k l
24.11  23  1 0 1
35.07  34  1 1 2
36.09  100  1 2 1
36.44  40  0 2 2
39.70  11  0 1 3
42.11  45  2 0 0
43.03  42  1 0 3
56.89  29  2 2 2
70.33  17  1 3 4
73.02  12  3 2 1

Cell and atoms:
```
data_ErCu2
_space_group_name_H-M_alt 'I m m a'
_space_group_IT_number 74
_space_group_name_Hall '-I 2b 2'
_cell_length_a 4.2922
_cell_length_b 6.7412
_cell_length_c 7.2333
_cell_angle_alpha 90.00
_cell_angle_beta 90.00
_cell_angle_gamma 90.00
loop_
_atom_site_label
_atom_site_type_symbol
_atom_site_fract_x
_atom_site_fract_y
_atom_site_fract_z
Er1 Er 0.0000 0.2500 0.0419
Cu1 Cu 0.0000 0.0503 0.6653
```



[4]
The following is a theoretical powder XRD pattern of Y2Co17. It was derived from a GGA-PBE-relaxed structure, using Cu Kα (weighted mean of Kα1 and Kα2).

Main lines, in order of rising 2θ (2θ from 10° to 90°):
two_theta  intensity  h k l
30.72  19  1 1 2
37.43  34  3 0 0
41.65  41  2 0 3
43.50  66  2 2 0
43.75  100  3 0 2
44.50  37  0 0 4
49.18  51  2 2 2
63.98  14  2 2 4
79.85  18  6 0 0
81.44  18  3 0 6

Cell and atoms:
```
data_Y2Co17
_space_group_name_H-M_alt 'P 63/m m c'
_space_group_IT_number 194
_space_group_name_Hall '-P 6c 2c'
_cell_length_a 8.3222
_cell_length_b 8.3222
_cell_length_c 8.1441
_cell_angle_alpha 90.00
_cell_angle_beta 90.00
_cell_angle_gamma 120.00
loop_
_atom_site_label
_atom_site_type_symbol
_atom_site_fract_x
_atom_site_fract_y
_atom_site_fract_z
Y1 Y 0.0000 0.0000 0.2500
Y2 Y 0.3333 0.6667 0.2500
Co1 Co 0.0000 0.5000 0.0000
Co2 Co 0.0458 0.3752 0.7500
Co3 Co 0.1668 0.3336 0.0187
Co4 Co 0.3333 0.6667 0.6078
```



[5]
The following is a theoretical powder XRD pattern of Rb4NO. It was derived from a GGA-PBE-relaxed structure, using Cu Kα (weighted mean of Kα1 and Kα2).

Main lines, in order of rising 2θ (2θ from 10° to 90°):
two_theta  intensity  h k l
25.36  90  1 1 0
36.17  100  2 0 0
44.69  26  2 0 2
52.03  11  2 2 0
58.75  23  3 1 0
58.88  11  1 1 4
65.02  22  3 1 2
65.13  11  2 0 4
82.41  9  3 1 4
87.83  10  4 2 0

Cell and atoms:
```
data_Rb4NO
_space_group_name_H-M_alt 'P 4/m m m'
_space_group_IT_number 123
_space_group_name_Hall '-P 4 2'
_cell_length_a 4.9715
_cell_length_b 4.9715
_cell_length_c 7.0097
_cell_angle_alpha 90.00
_cell_angle_beta 90.00
_cell_angle_gamma 90.00
loop_
_atom_site_label
_atom_site_type_symbol
_atom_site_fract_x
_atom_site_fract_y
_atom_site_fract_z
Rb1 Rb 0.0000 0.5000 0.2449
N1 N 0.0000 0.0000 0.5000
O1 O 0.5000 0.5000 0.0000
```